Diffraction record for UPHRh. The powder X-ray diffraction pattern is computed, not measured: it uses a GGA-PBE-relaxed structure and Cu Kα (weighted mean of Kα1 and Kα2).

Crystal structure
```
data_UPHRh
_cell_length_a 4.1623
_cell_length_b 4.1623
_cell_length_c 3.7419
_cell_angle_alpha 90.00
_cell_angle_beta 90.00
_cell_angle_gamma 120.00
_space_group_name_H-M_alt 'P -6 m 2'
_space_group_IT_number 187
_space_group_name_Hall 'P -6 2'
loop_
_atom_site_label
_atom_site_type_symbol
_atom_site_fract_x
_atom_site_fract_y
_atom_site_fract_z
U1 U 0.0000 0.0000 0.0000
P1 P 0.3333 0.6667 0.5000
H1 H 0.6667 0.3333 0.0000
Rh1 Rh 0.6667 0.3333 0.5000
```

Main lines, by angle (2θ = 10–90°):
| 2θ/deg | d_spacing | I (rel.) | hkl |
| --- | --- | --- | --- |
| 24.70 | 3.605 | 36.6 | 1 0 0 |
| 34.55 | 2.596 | 100.0 | 1 0 1 |
| 43.48 | 2.081 | 38.6 | 1 1 0 |
| 48.67 | 1.871 | 9.3 | 0 0 2 |
| 56.69 | 1.624 | 24.7 | 2 0 1 |
| 67.29 | 1.391 | 21.5 | 1 1 2 |
| 74.05 | 1.280 | 23.1 | 2 1 1 |
| 81.69 | 1.179 | 9.1 | 1 0 3 |

Diffraction record for PH3S. The powder X-ray diffraction pattern is computed, not measured: it uses a GGA-PBE-relaxed structure and Cu Kα (weighted mean of Kα1 and Kα2).

Crystal structure
```
data_PH3S
_cell_length_a 6.163
_cell_length_b 4.677
_cell_length_c 5.493
_cell_angle_alpha 90.00
_cell_angle_beta 90.00
_cell_angle_gamma 90.00
_space_group_name_H-M_alt 'P m n 21'
_space_group_IT_number 31
loop_
_space_group_symop_operation_xyz
'x,y,z'
'-x+1/2,-y,z+1/2'
'-x,y,z'
'x+1/2,-y,z+1/2'
loop_
_atom_site_label
_atom_site_type_symbol
_atom_site_fract_x
_atom_site_fract_y
_atom_site_fract_z
P1 P 0.000 0.180 0.000
H1 H 0.000 0.878 0.974
H2 H 0.181 0.269 0.858
S1 S 0.000 0.321 0.338
```

Main lines, by angle (2θ = 10–90°):
| 2θ/deg | d_spacing | I (rel.) | hkl |
| --- | --- | --- | --- |
| 21.67 | 4.101 | 37.9 | 1 0 1 |
| 23.88 | 3.726 | 100.0 | 1 1 0 |
| 25.00 | 3.561 | 18.4 | 0 1 1 |
| 28.97 | 3.082 | 56.1 | 2 0 0 |
| 38.64 | 2.330 | 11.9 | 2 1 1 |
| 40.82 | 2.211 | 11.2 | 1 1 2 |
| 48.42 | 1.880 | 14.6 | 3 1 0 |
| 52.11 | 1.755 | 11.4 | 1 0 3 |

Diffraction record for PHS2. The powder X-ray diffraction pattern is computed, not measured: it uses a GGA-PBE-relaxed structure and Cu Kα (weighted mean of Kα1 and Kα2).

Crystal structure
```
data_PHS2
_cell_length_a 10.044
_cell_length_b 8.261
_cell_length_c 4.692
_cell_angle_alpha 90.00
_cell_angle_beta 90.00
_cell_angle_gamma 90.00
_space_group_name_H-M_alt 'P n a 21'
_space_group_IT_number 33
loop_
_space_group_symop_operation_xyz
'x,y,z'
'-x,-y,z+1/2'
'-x+1/2,y+1/2,z+1/2'
'x+1/2,-y+1/2,z'
loop_
_atom_site_label
_atom_site_type_symbol
_atom_site_fract_x
_atom_site_fract_y
_atom_site_fract_z
P1 P 0.100 0.098 0.000
H1 H 0.169 0.390 0.910
S1 S 0.072 0.314 0.760
S2 S 0.095 0.906 0.698
```

Main lines, by angle (2θ = 10–90°):
| 2θ/deg | d_spacing | I (rel.) | hkl |
| --- | --- | --- | --- |
| 13.88 | 6.380 | 100.0 | 1 1 0 |
| 17.66 | 5.022 | 50.5 | 2 0 0 |
| 20.70 | 4.291 | 23.9 | 2 1 0 |
| 21.78 | 4.080 | 30.6 | 0 1 1 |
| 25.99 | 3.429 | 77.0 | 2 0 1 |
| 30.17 | 2.962 | 82.3 | 1 2 1 |
| 37.88 | 2.375 | 23.4 | 0 3 1 |
| 52.53 | 1.742 | 28.0 | 3 2 2 |

Diffraction record for P2H3S6. The powder X-ray diffraction pattern is computed, not measured: it uses a GGA-PBE-relaxed structure and Cu Kα (weighted mean of Kα1 and Kα2).

Crystal structure
```
data_P2H3S6
_cell_length_a 13.337
_cell_length_b 6.878
_cell_length_c 11.460
_cell_angle_alpha 90.00
_cell_angle_beta 95.24
_cell_angle_gamma 90.00
_space_group_name_H-M_alt 'C 1 2/c 1'
_space_group_IT_number 15
loop_
_space_group_symop_operation_xyz
'x,y,z'
'-x,-y,-z'
'-x,y,-z+1/2'
'x,-y,z+1/2'
'x+1/2,y+1/2,z'
'-x+1/2,-y+1/2,-z'
'-x+1/2,y+1/2,-z+1/2'
'x+1/2,-y+1/2,z+1/2'
loop_
_atom_site_label
_atom_site_type_symbol
_atom_site_fract_x
_atom_site_fract_y
_atom_site_fract_z
P1 P 0.072 0.100 0.085
H1 H 0.000 0.355 0.250
H2 H 0.228 0.051 0.235
S1 S 0.051 0.061 0.880
S2 S 0.073 0.375 0.144
S3 S 0.211 0.039 0.631
```

Main lines, by angle (2θ = 10–90°):
| 2θ/deg | d_spacing | I (rel.) | hkl |
| --- | --- | --- | --- |
| 13.33 | 6.641 | 52.7 | 2 0 0 |
| 14.50 | 6.108 | 100.0 | 1 1 0 |
| 16.75 | 5.293 | 35.9 | 1 1 1 |
| 19.56 | 4.537 | 44.7 | 2 0 -2 |
| 20.85 | 4.260 | 41.8 | 1 1 -2 |
| 25.73 | 3.462 | 33.5 | 3 1 1 |
| 29.64 | 3.014 | 35.5 | 3 1 2 |
| 31.35 | 2.853 | 54.0 | 0 0 4 |

Diffraction record for PH2SeS. The powder X-ray diffraction pattern is computed, not measured: it uses a GGA-PBE-relaxed structure and Cu Kα (weighted mean of Kα1 and Kα2).

Crystal structure
```
data_PH2SeS
_cell_length_a 3.561
_cell_length_b 4.657
_cell_length_c 6.470
_cell_angle_alpha 77.80
_cell_angle_beta 83.84
_cell_angle_gamma 76.96
_space_group_name_H-M_alt 'P 1'
_space_group_IT_number 1
loop_
_space_group_symop_operation_xyz
'x,y,z'
loop_
_atom_site_label
_atom_site_type_symbol
_atom_site_fract_x
_atom_site_fract_y
_atom_site_fract_z
P1 P 0.000 0.000 0.000
H1 H 0.376 0.776 0.677
H2 H 0.595 0.145 0.009
Se1 Se 0.021 0.603 0.248
S1 S 0.996 0.912 0.687
```

Main lines, by angle (2θ = 10–90°):
| 2θ/deg | d_spacing | I (rel.) | hkl |
| --- | --- | --- | --- |
| 14.03 | 6.311 | 50.2 | 0 0 1 |
| 19.95 | 4.451 | 41.2 | 0 1 0 |
| 22.10 | 4.022 | 67.0 | 0 1 1 |
| 25.73 | 3.462 | 100.0 | 1 0 0 |
| 26.64 | 3.346 | 44.4 | 0 1 -1 |
| 29.96 | 2.983 | 32.5 | 1 1 1 |
| 31.42 | 2.847 | 42.8 | 0 1 2 |
| 37.98 | 2.369 | 26.4 | -1 1 1 |

Diffraction record for PHSeS. The powder X-ray diffraction pattern is computed, not measured: it uses a GGA-PBE-relaxed structure and Cu Kα (weighted mean of Kα1 and Kα2).

Crystal structure
```
data_PHSeS
_cell_length_a 3.439
_cell_length_b 4.632
_cell_length_c 6.879
_cell_angle_alpha 81.34
_cell_angle_beta 80.10
_cell_angle_gamma 89.21
_space_group_name_H-M_alt 'P 1'
_space_group_IT_number 1
loop_
_space_group_symop_operation_xyz
'x,y,z'
loop_
_atom_site_label
_atom_site_type_symbol
_atom_site_fract_x
_atom_site_fract_y
_atom_site_fract_z
P1 P 0.000 0.000 0.000
H1 H 0.307 0.051 0.624
Se1 Se 0.462 0.712 0.163
S1 S 0.023 0.854 0.719
```

Main lines, by angle (2θ = 10–90°):
| 2θ/deg | d_spacing | I (rel.) | hkl |
| --- | --- | --- | --- |
| 13.22 | 6.699 | 100.0 | 0 0 1 |
| 19.39 | 4.579 | 96.6 | 0 1 0 |
| 21.80 | 4.077 | 50.1 | 0 1 1 |
| 26.61 | 3.350 | 30.6 | 0 0 2 |
| 27.39 | 3.257 | 29.4 | 1 0 1 |
| 30.61 | 2.921 | 31.1 | 0 1 2 |
| 31.58 | 2.833 | 25.4 | 1 0 -1 |
| 34.77 | 2.580 | 34.1 | 1 -1 1 |

Diffraction record for ZnPHS2. The powder X-ray diffraction pattern is computed, not measured: it uses a GGA-PBE-relaxed structure and Cu Kα (weighted mean of Kα1 and Kα2).

Crystal structure
```
data_ZnPHS2
_cell_length_a 4.700
_cell_length_b 4.700
_cell_length_c 3.128
_cell_angle_alpha 90.00
_cell_angle_beta 90.00
_cell_angle_gamma 90.00
_space_group_name_H-M_alt 'P 4/m m m'
_space_group_IT_number 123
_space_group_name_Hall '-P 4 2'
loop_
_atom_site_label
_atom_site_type_symbol
_atom_site_fract_x
_atom_site_fract_y
_atom_site_fract_z
Zn1 Zn 0.000 0.000 0.000
P1 P 0.500 0.500 0.000
H1 H 0.500 0.500 0.500
S1 S 0.000 0.500 0.500
```

Main lines, by angle (2θ = 10–90°):
| 2θ/deg | d_spacing | I (rel.) | hkl |
| --- | --- | --- | --- |
| 18.88 | 4.700 | 16.0 | 1 0 0 |
| 34.44 | 2.604 | 9.8 | 1 0 1 |
| 38.30 | 2.350 | 56.9 | 2 0 0 |
| 39.56 | 2.278 | 100.0 | 1 1 1 |
| 55.29 | 1.662 | 18.0 | 2 2 0 |
| 70.10 | 1.342 | 33.6 | 3 1 1 |
| 72.60 | 1.302 | 16.3 | 2 0 2 |
| 85.20 | 1.139 | 10.8 | 2 2 2 |

Diffraction record for SbPH4. The powder X-ray diffraction pattern is computed, not measured: it uses a GGA-PBE-relaxed structure and Cu Kα (weighted mean of Kα1 and Kα2).

Crystal structure
```
data_SbPH4
_cell_length_a 4.543
_cell_length_b 4.556
_cell_length_c 5.936
_cell_angle_alpha 92.86
_cell_angle_beta 108.24
_cell_angle_gamma 118.13
_space_group_name_H-M_alt 'P 1'
_space_group_IT_number 1
loop_
_space_group_symop_operation_xyz
'x,y,z'
loop_
_atom_site_label
_atom_site_type_symbol
_atom_site_fract_x
_atom_site_fract_y
_atom_site_fract_z
Sb1 Sb 0.000 0.000 0.000
P1 P 0.088 0.030 0.457
H1 H 0.119 0.429 0.036
H2 H 0.448 0.123 0.060
H3 H 0.460 0.129 0.542
H4 H 0.969 0.673 0.428
```

Main lines, by angle (2θ = 10–90°):
| 2θ/deg | d_spacing | I (rel.) | hkl |
| --- | --- | --- | --- |
| 16.18 | 5.479 | 75.4 | 0 0 1 |
| 22.78 | 3.904 | 100.0 | 0 1 0 |
| 23.11 | 3.849 | 91.3 | 1 -1 0 |
| 23.30 | 3.818 | 41.5 | 1 0 -1 |
| 24.04 | 3.702 | 83.2 | 1 0 0 |
| 32.39 | 2.764 | 33.7 | 1 0 -2 |
| 32.69 | 2.739 | 39.5 | 0 0 2 |
| 35.31 | 2.542 | 29.9 | 0 1 -2 |

Diffraction record for Sc3P2H. The powder X-ray diffraction pattern is computed, not measured: it uses a GGA-PBE-relaxed structure and Cu Kα (weighted mean of Kα1 and Kα2).

Crystal structure
```
data_Sc3P2H
_cell_length_a 7.220
_cell_length_b 3.699
_cell_length_c 14.349
_cell_angle_alpha 90.00
_cell_angle_beta 90.00
_cell_angle_gamma 90.00
_space_group_name_H-M_alt 'P n m a'
_space_group_IT_number 62
loop_
_space_group_symop_operation_xyz
'x,y,z'
'-x,-y,-z'
'-x+1/2,-y,z+1/2'
'x+1/2,y,-z+1/2'
'x+1/2,-y+1/2,-z+1/2'
'-x+1/2,y+1/2,z+1/2'
'-x,y+1/2,-z'
'x,-y+1/2,z'
loop_
_atom_site_label
_atom_site_type_symbol
_atom_site_fract_x
_atom_site_fract_y
_atom_site_fract_z
Sc1 Sc 0.008 0.250 0.100
Sc2 Sc 0.128 0.750 0.428
Sc3 Sc 0.174 0.250 0.724
P1 P 0.093 0.250 0.285
P2 P 0.249 0.750 0.041
H1 H 0.115 0.250 0.866
```

Main lines, by angle (2θ = 10–90°):
| 2θ/deg | d_spacing | I (rel.) | hkl |
| --- | --- | --- | --- |
| 29.86 | 2.992 | 59.7 | 1 1 2 |
| 31.04 | 2.881 | 23.3 | 2 0 3 |
| 33.61 | 2.667 | 22.9 | 1 0 5 |
| 35.29 | 2.543 | 72.2 | 2 1 1 |
| 37.01 | 2.429 | 100.0 | 2 1 2 |
| 37.61 | 2.392 | 24.3 | 0 0 6 |
| 41.75 | 2.163 | 33.3 | 1 1 5 |
| 49.27 | 1.850 | 33.9 | 0 2 0 |

Diffraction record for SrScPH2. The powder X-ray diffraction pattern is computed, not measured: it uses a GGA-PBE-relaxed structure and Cu Kα (weighted mean of Kα1 and Kα2).

Crystal structure
```
data_SrScPH2
_cell_length_a 3.798
_cell_length_b 11.900
_cell_length_c 7.182
_cell_angle_alpha 90.00
_cell_angle_beta 90.00
_cell_angle_gamma 90.00
_space_group_name_H-M_alt 'C m c m'
_space_group_IT_number 63
_space_group_name_Hall '-C 2c 2'
loop_
_atom_site_label
_atom_site_type_symbol
_atom_site_fract_x
_atom_site_fract_y
_atom_site_fract_z
Sr1 Sr 0.000 0.232 0.250
Sc1 Sc 0.000 0.500 0.000
P1 P 0.000 0.041 0.750
H1 H 0.000 0.332 0.557
```

Main lines, by angle (2θ = 10–90°):
| 2θ/deg | d_spacing | I (rel.) | hkl |
| --- | --- | --- | --- |
| 27.60 | 3.231 | 100.0 | 1 1 1 |
| 29.04 | 3.075 | 75.3 | 0 2 2 |
| 30.04 | 2.975 | 63.3 | 0 4 0 |
| 32.60 | 2.747 | 34.9 | 0 4 1 |
| 35.01 | 2.563 | 95.1 | 1 3 1 |
| 35.21 | 2.549 | 61.5 | 1 1 2 |
| 45.43 | 1.997 | 27.5 | 1 1 3 |
| 50.60 | 1.804 | 32.2 | 1 3 3 |

Diffraction record for P2HSe. The powder X-ray diffraction pattern is computed, not measured: it uses a GGA-PBE-relaxed structure and Cu Kα (weighted mean of Kα1 and Kα2).

Crystal structure
```
data_P2HSe
_cell_length_a 3.176
_cell_length_b 4.464
_cell_length_c 6.395
_cell_angle_alpha 77.30
_cell_angle_beta 77.13
_cell_angle_gamma 69.55
_space_group_name_H-M_alt 'P 1'
_space_group_IT_number 1
loop_
_space_group_symop_operation_xyz
'x,y,z'
loop_
_atom_site_label
_atom_site_type_symbol
_atom_site_fract_x
_atom_site_fract_y
_atom_site_fract_z
P1 P 0.000 0.000 0.000
P2 P 0.324 0.165 0.211
H1 H 0.916 0.304 0.855
Se1 Se 0.420 0.732 0.474
```

Main lines, by angle (2θ = 10–90°):
| 2θ/deg | d_spacing | I (rel.) | hkl |
| --- | --- | --- | --- |
| 14.38 | 6.158 | 94.6 | 0 0 1 |
| 21.51 | 4.132 | 46.7 | 0 1 0 |
| 24.00 | 3.708 | 100.0 | 0 1 1 |
| 27.81 | 3.208 | 50.4 | 0 1 -1 |
| 29.00 | 3.079 | 34.9 | 0 0 2 |
| 30.83 | 2.900 | 39.2 | 1 1 1 |
| 35.91 | 2.500 | 52.0 | 1 0 -1 |
| 36.86 | 2.439 | 44.9 | 1 1 2 |

Diffraction record for P2HSe. The powder X-ray diffraction pattern is computed, not measured: it uses a GGA-PBE-relaxed structure and Cu Kα (weighted mean of Kα1 and Kα2).

Crystal structure
```
data_P2HSe
_cell_length_a 5.805
_cell_length_b 5.911
_cell_length_c 6.689
_cell_angle_alpha 67.33
_cell_angle_beta 64.71
_cell_angle_gamma 70.35
_space_group_name_H-M_alt 'P 1'
_space_group_IT_number 1
loop_
_space_group_symop_operation_xyz
'x,y,z'
loop_
_atom_site_label
_atom_site_type_symbol
_atom_site_fract_x
_atom_site_fract_y
_atom_site_fract_z
P1 P 0.000 0.000 0.000
P2 P 0.010 0.925 0.540
P3 P 0.306 0.924 0.672
P4 P 0.763 0.314 0.529
H1 H 0.628 0.255 0.774
H2 H 0.936 0.266 0.906
Se1 Se 0.280 0.009 0.158
Se2 Se 0.436 0.301 0.431
```

Main lines, by angle (2θ = 10–90°):
| 2θ/deg | d_spacing | I (rel.) | hkl |
| --- | --- | --- | --- |
| 15.28 | 5.799 | 40.2 | 0 0 1 |
| 16.61 | 5.337 | 100.0 | 0 1 0 |
| 17.26 | 5.136 | 45.2 | 1 0 0 |
| 25.69 | 3.467 | 31.4 | 0 1 -1 |
| 26.44 | 3.371 | 47.3 | 1 -1 0 |
| 26.84 | 3.322 | 24.8 | 1 0 -1 |
| 30.63 | 2.919 | 34.5 | 0 1 2 |
| 34.38 | 2.608 | 42.7 | 2 1 2 |

Diffraction record for P2HSe. The powder X-ray diffraction pattern is computed, not measured: it uses a GGA-PBE-relaxed structure and Cu Kα (weighted mean of Kα1 and Kα2).

Crystal structure
```
data_P2HSe
_cell_length_a 3.180
_cell_length_b 4.542
_cell_length_c 5.973
_cell_angle_alpha 94.60
_cell_angle_beta 90.07
_cell_angle_gamma 110.33
_space_group_name_H-M_alt 'P 1'
_space_group_IT_number 1
loop_
_space_group_symop_operation_xyz
'x,y,z'
loop_
_atom_site_label
_atom_site_type_symbol
_atom_site_fract_x
_atom_site_fract_y
_atom_site_fract_z
P1 P 0.000 0.000 0.000
P2 P 0.413 0.823 0.221
H1 H 0.556 0.111 0.367
Se1 Se 0.797 0.595 0.732
```

Main lines, by angle (2θ = 10–90°):
| 2θ/deg | d_spacing | I (rel.) | hkl |
| --- | --- | --- | --- |
| 14.89 | 5.950 | 60.2 | 0 0 1 |
| 20.94 | 4.243 | 53.1 | 0 1 0 |
| 24.70 | 3.604 | 63.7 | 0 1 -1 |
| 26.84 | 3.322 | 35.2 | 0 1 1 |
| 30.02 | 2.977 | 57.9 | 0 0 2 |
| 33.23 | 2.696 | 100.0 | 1 -1 1 |
| 34.07 | 2.632 | 32.2 | 1 0 1 |
| 38.42 | 2.343 | 26.9 | 0 1 2 |